Record 1
For ScHO2, a crystal structure in the Materials Project, relaxed with GGA-PBE gives the computed X-ray diffraction stick pattern in this record (Cu Ka).
Kinematic intensities with the Lorentz-polarization factor, no thermal factor.

Structure:
a b c (Å): 4.1441 3.3602 5.6099
angles (deg): 90.00 109.90 90.00
Fractional positions:
Sc  0.1643  0.2500  0.3135
Sc  0.8357  0.7500  0.6865
H  0.4936  0.7500  0.0971
H  0.5064  0.2500  0.9029
O  0.2472  0.7500  0.0662
O  0.2679  0.7500  0.5572
O  0.7321  0.2500  0.4428
O  0.7528  0.2500  0.9338

Main lines, low angle first (10° ≤ 2θ ≤ 90°):
16.81 deg, d = 5.275 Å, intensity 41
22.82 deg, d = 3.897 Å, intensity 28
23.31 deg, d = 3.816 Å, intensity 55
31.57 deg, d = 2.834 Å, intensity 95
32.90 deg, d = 2.723 Å, intensity 54
35.60 deg, d = 2.522 Å, intensity 56
43.62 deg, d = 2.075 Å, intensity 100
43.71 deg, d = 2.071 Å, intensity 25
54.63 deg, d = 1.680 Å, intensity 32
55.42 deg, d = 1.658 Å, intensity 80

Record 2
For Mg16Al12Ga, a crystal structure in the Materials Project, relaxed with GGA-PBE gives the computed X-ray diffraction stick pattern in this record (Cu Ka).
Kinematic intensities with the Lorentz-polarization factor, no thermal factor.

Structure:
a b c (Å): 9.1000 9.1000 9.1000
angles (deg): 109.47 109.47 109.47
Fractional positions:
Mg  0.0000  0.0000  0.0000
Mg  0.0008  0.0008  0.3466
Mg  0.0015  0.3192  0.6007
Mg  0.0008  0.3466  0.0008
Mg  0.0015  0.6007  0.3192
Mg  0.2878  0.6871  0.6871
Mg  0.3192  0.0015  0.6007
Mg  0.3192  0.6007  0.0015
Mg  0.3466  0.0008  0.0008
Mg  0.4091  0.4091  0.7108
Mg  0.4091  0.7108  0.4091
Mg  0.6007  0.0015  0.3192
Mg  0.6007  0.3192  0.0015
Mg  0.6871  0.2878  0.6871
Mg  0.6871  0.6871  0.2878
Mg  0.7108  0.4091  0.4091
Al  0.0041  0.6355  0.8186
Al  0.0041  0.8186  0.6355
Al  0.1755  0.3620  0.3620
Al  0.1882  0.1882  0.8147
Al  0.1882  0.8147  0.1882
Al  0.3620  0.1755  0.3620
Al  0.3620  0.3620  0.1755
Al  0.6355  0.0041  0.8186
Al  0.6355  0.8186  0.0041
Al  0.8147  0.1882  0.1882
Al  0.8186  0.0041  0.6355
Al  0.8186  0.6355  0.0041
Ga  0.6800  0.6800  0.6800

Main lines, low angle first (10° ≤ 2θ ≤ 90°):
11.91 deg, d = 7.430 Å, intensity 11
34.13 deg, d = 2.627 Å, intensity 9
36.27 deg, d = 2.477 Å, intensity 100
40.25 deg, d = 2.240 Å, intensity 27
42.13 deg, d = 2.145 Å, intensity 12
43.93 deg, d = 2.061 Å, intensity 16
62.50 deg, d = 1.486 Å, intensity 9
65.24 deg, d = 1.430 Å, intensity 25
67.93 deg, d = 1.380 Å, intensity 6
77.00 deg, d = 1.238 Å, intensity 7

Record 3
For Tm4C7, a crystal structure in the Materials Project, relaxed with GGA-PBE gives the computed X-ray diffraction stick pattern in this record (Cu Ka).
Kinematic intensities with the Lorentz-polarization factor, no thermal factor.

Structure:
a b c (Å): 3.6476 13.6034 6.3538
angles (deg): 90.00 105.07 90.00
Fractional positions:
Tm  0.0552  0.1609  0.1605
Tm  0.0552  0.3391  0.6605
Tm  0.3647  0.0547  0.7393
Tm  0.3647  0.4453  0.2393
Tm  0.6353  0.5547  0.7607
Tm  0.6353  0.9453  0.2607
Tm  0.9448  0.6609  0.3395
Tm  0.9448  0.8391  0.8395
C  0.0000  0.0000  0.0000
C  0.0000  0.5000  0.5000
C  0.2623  0.6048  0.0467
C  0.2623  0.8952  0.5467
C  0.3795  0.6977  0.0447
C  0.3795  0.8023  0.5447
C  0.4605  0.2144  0.9232
C  0.4605  0.2856  0.4232
C  0.5395  0.7144  0.5768
C  0.5395  0.7856  0.0768
C  0.6205  0.1977  0.4553
C  0.6205  0.3023  0.9553
C  0.7377  0.1048  0.4533
C  0.7377  0.3952  0.9533

Main lines, low angle first (10° ≤ 2θ ≤ 90°):
28.54 deg, d = 3.128 Å, intensity 27
28.89 deg, d = 3.090 Å, intensity 34
29.11 deg, d = 3.068 Å, intensity 31
30.04 deg, d = 2.974 Å, intensity 100
32.50 deg, d = 2.755 Å, intensity 37
33.11 deg, d = 2.705 Å, intensity 25
34.04 deg, d = 2.634 Å, intensity 39
35.08 deg, d = 2.558 Å, intensity 46
50.51 deg, d = 1.807 Å, intensity 21
55.96 deg, d = 1.643 Å, intensity 22

Record 4
For ThAs8O18, a crystal structure in the Materials Project, relaxed with GGA-PBE gives the computed X-ray diffraction stick pattern in this record (Cu Ka).
Kinematic intensities with the Lorentz-polarization factor, no thermal factor.

Structure:
a b c (Å): 9.6575 9.6575 17.7583
angles (deg): 98.98 98.98 31.89
Fractional positions:
Th  0.2192  0.7808  0.7500
Th  0.7808  0.2192  0.2500
As  0.1343  0.5656  0.2238
As  0.1713  0.4509  0.8619
As  0.1990  0.5553  0.5182
As  0.2729  0.7244  0.4068
As  0.2756  0.7271  0.0932
As  0.4344  0.8657  0.2762
As  0.4447  0.8010  0.9818
As  0.4509  0.1713  0.3619
As  0.5491  0.8287  0.6381
As  0.5553  0.1990  0.0182
As  0.5656  0.1343  0.7238
As  0.7244  0.2729  0.9068
As  0.7271  0.2756  0.5932
As  0.8010  0.4447  0.4818
As  0.8287  0.5491  0.1381
As  0.8657  0.4344  0.7762
O  0.0069  0.0563  0.8641
O  0.0106  0.4138  0.8581
O  0.0563  0.0069  0.3641
O  0.0782  0.1340  0.7352
O  0.0853  0.7857  0.4607
O  0.1340  0.0782  0.2352
O  0.1923  0.3906  0.2846
O  0.2143  0.9147  0.0393
O  0.2336  0.3817  0.4416
O  0.3092  0.5496  0.0229
O  0.3817  0.2336  0.9416
O  0.3891  0.4153  0.6935
O  0.3906  0.1923  0.7846
O  0.4138  0.0106  0.3581
O  0.4153  0.3891  0.1935
O  0.4455  0.4718  0.8512
O  0.4504  0.6908  0.4771
O  0.4718  0.4455  0.3512
O  0.5282  0.5545  0.6488
O  0.5496  0.3092  0.5229
O  0.5545  0.5282  0.1488
O  0.5847  0.6109  0.8065
O  0.5862  0.9894  0.6419
O  0.6094  0.8077  0.2154
O  0.6109  0.5847  0.3065
O  0.6183  0.7664  0.0584
O  0.6908  0.4504  0.9771
O  0.7664  0.6183  0.5584
O  0.7857  0.0853  0.9607
O  0.8077  0.6094  0.7154
O  0.8660  0.9218  0.7648
O  0.9147  0.2143  0.5393
O  0.9218  0.8660  0.2648
O  0.9437  0.9931  0.6359
O  0.9894  0.5862  0.1419
O  0.9931  0.9437  0.1359

Main lines, low angle first (10° ≤ 2θ ≤ 90°):
10.10 deg, d = 8.761 Å, intensity 50
20.33 deg, d = 4.369 Å, intensity 39
22.22 deg, d = 4.001 Å, intensity 73
23.68 deg, d = 3.757 Å, intensity 100
25.59 deg, d = 3.481 Å, intensity 81
28.33 deg, d = 3.151 Å, intensity 94
29.24 deg, d = 3.054 Å, intensity 27
30.59 deg, d = 2.923 Å, intensity 38
31.52 deg, d = 2.838 Å, intensity 48
46.22 deg, d = 1.964 Å, intensity 33

Record 5
For SiO2, a crystal structure in the Materials Project, relaxed with GGA-PBE gives the computed X-ray diffraction stick pattern in this record (Cu Ka).
Kinematic intensities with the Lorentz-polarization factor, no thermal factor.

Structure:
a b c (Å): 10.7505 10.7505 10.4472
angles (deg): 90.00 90.00 130.04
Fractional positions:
Si  0.0307  0.6168  0.8849
Si  0.1168  0.5307  0.3849
Si  0.1300  0.2207  0.1171
Si  0.2207  0.1300  0.8829
Si  0.2793  0.3700  0.3829
Si  0.3700  0.2793  0.6171
Si  0.3832  0.9693  0.8849
Si  0.4693  0.8832  0.3849
Si  0.5307  0.1168  0.6151
Si  0.6168  0.0307  0.1151
Si  0.6300  0.7207  0.3829
Si  0.7207  0.6300  0.6171
Si  0.7793  0.8700  0.1171
Si  0.8700  0.7793  0.8829
Si  0.8832  0.4693  0.6151
Si  0.9693  0.3832  0.1151
O  0.0000  0.5000  0.0000
O  0.0000  0.5000  0.5000
O  0.0192  0.4808  0.2500
O  0.0323  0.9677  0.8706
O  0.0836  0.3355  0.0899
O  0.1645  0.4164  0.4101
O  0.2214  0.7786  0.8804
O  0.2294  0.2706  0.2500
O  0.2421  0.2421  0.0000
O  0.2579  0.2579  0.5000
O  0.2706  0.2294  0.7500
O  0.2786  0.7214  0.3804
O  0.3355  0.0836  0.9101
O  0.4164  0.1645  0.5899
O  0.4677  0.5323  0.3706
O  0.4808  0.0192  0.7500
O  0.5000  0.0000  0.0000
O  0.5000  0.0000  0.5000
O  0.5192  0.9808  0.2500
O  0.5323  0.4677  0.6294
O  0.5836  0.8355  0.4101
O  0.6645  0.9164  0.0899
O  0.7214  0.2786  0.6196
O  0.7294  0.7706  0.2500
O  0.7421  0.7421  0.5000
O  0.7579  0.7579  0.0000
O  0.7706  0.7294  0.7500
O  0.7786  0.2214  0.1196
O  0.8355  0.5836  0.5899
O  0.9164  0.6645  0.9101
O  0.9677  0.0323  0.1294
O  0.9808  0.5192  0.7500

Main lines, low angle first (10° ≤ 2θ ≤ 90°):
12.42 deg, d = 7.126 Å, intensity 100
13.70 deg, d = 6.465 Å, intensity 52
18.21 deg, d = 4.872 Å, intensity 39
19.55 deg, d = 4.540 Å, intensity 51
20.13 deg, d = 4.410 Å, intensity 36
23.23 deg, d = 3.829 Å, intensity 12
27.19 deg, d = 3.279 Å, intensity 17
28.78 deg, d = 3.102 Å, intensity 22
31.11 deg, d = 2.875 Å, intensity 10
34.56 deg, d = 2.595 Å, intensity 10

Record 6
For TcRh, a crystal structure in the Materials Project, relaxed with GGA-PBE gives the computed X-ray diffraction stick pattern in this record (Cu Ka).
Kinematic intensities with the Lorentz-polarization factor, no thermal factor.

Structure:
a b c (Å): 2.7450 2.7450 4.3639
angles (deg): 90.00 90.00 120.00
Fractional positions:
Tc  0.0000  0.0000  0.0000
Rh  0.3333  0.6667  0.5000

Main lines, low angle first (10° ≤ 2θ ≤ 90°):
37.85 deg, d = 2.377 Å, intensity 25
41.38 deg, d = 2.182 Å, intensity 25
43.34 deg, d = 2.088 Å, intensity 100
57.32 deg, d = 1.607 Å, intensity 14
68.35 deg, d = 1.372 Å, intensity 17
76.83 deg, d = 1.241 Å, intensity 18
80.87 deg, d = 1.189 Å, intensity 3
83.15 deg, d = 1.162 Å, intensity 19
84.48 deg, d = 1.147 Å, intensity 14
89.92 deg, d = 1.091 Å, intensity 3

Record 7
For Tb7Co6Sn23, a crystal structure in the Materials Project, relaxed with GGA-PBE gives the computed X-ray diffraction stick pattern in this record (Cu Ka).
Kinematic intensities with the Lorentz-polarization factor, no thermal factor.

Structure:
a b c (Å): 10.1169 10.1169 10.9347
angles (deg): 90.00 90.00 120.00
Fractional positions:
Tb  0.0000  0.0000  0.0000
Tb  0.0480  0.5240  0.2909
Tb  0.4760  0.5240  0.2909
Tb  0.4760  0.9520  0.2909
Tb  0.5240  0.0480  0.7091
Tb  0.5240  0.4760  0.7091
Tb  0.9520  0.4760  0.7091
Co  0.1940  0.3880  0.1488
Co  0.1940  0.8060  0.1488
Co  0.3880  0.1940  0.8512
Co  0.6120  0.8060  0.1488
Co  0.8060  0.1940  0.8512
Co  0.8060  0.6120  0.8512
Sn  0.0000  0.0000  0.5000
Sn  0.0000  0.3485  0.0000
Sn  0.0000  0.6515  0.0000
Sn  0.1166  0.2332  0.3220
Sn  0.1166  0.8834  0.3220
Sn  0.2284  0.4567  0.5558
Sn  0.2284  0.7716  0.5558
Sn  0.2332  0.1166  0.6780
Sn  0.3333  0.6667  0.1070
Sn  0.3333  0.6667  0.7986
Sn  0.3485  0.0000  0.0000
Sn  0.3485  0.3485  0.0000
Sn  0.4567  0.2284  0.4442
Sn  0.5433  0.7716  0.5558
Sn  0.6515  0.0000  0.0000
Sn  0.6515  0.6515  0.0000
Sn  0.6667  0.3333  0.2014
Sn  0.6667  0.3333  0.8930
Sn  0.7668  0.8834  0.3220
Sn  0.7716  0.2284  0.4442
Sn  0.7716  0.5433  0.4442
Sn  0.8834  0.1166  0.6780
Sn  0.8834  0.7668  0.6780

Main lines, low angle first (10° ≤ 2θ ≤ 90°):
21.86 deg, d = 4.067 Å, intensity 26
30.22 deg, d = 2.957 Å, intensity 20
31.59 deg, d = 2.832 Å, intensity 61
31.71 deg, d = 2.822 Å, intensity 100
31.94 deg, d = 2.802 Å, intensity 35
34.83 deg, d = 2.576 Å, intensity 73
35.49 deg, d = 2.529 Å, intensity 20
36.67 deg, d = 2.451 Å, intensity 28
38.83 deg, d = 2.319 Å, intensity 18
54.41 deg, d = 1.686 Å, intensity 32

Record 8
For Fe4C, a crystal structure in the Materials Project, relaxed with GGA-PBE gives the computed X-ray diffraction stick pattern in this record (Cu Ka).
Kinematic intensities with the Lorentz-polarization factor, no thermal factor.

Structure:
a b c (Å): 3.8415 3.8415 3.8415
angles (deg): 90.00 90.00 90.00
Fractional positions:
Fe  0.2308  0.2308  0.7692
Fe  0.2308  0.7692  0.2308
Fe  0.7692  0.2308  0.2308
Fe  0.7692  0.7692  0.7692
C  0.5000  0.5000  0.5000

Main lines, low angle first (10° ≤ 2θ ≤ 90°):
23.15 deg, d = 3.842 Å, intensity 2
32.97 deg, d = 2.716 Å, intensity 1
40.68 deg, d = 2.218 Å, intensity 100
47.33 deg, d = 1.921 Å, intensity 42
53.32 deg, d = 1.718 Å, intensity 3
58.89 deg, d = 1.568 Å, intensity 5
69.17 deg, d = 1.358 Å, intensity 27
74.03 deg, d = 1.281 Å, intensity 2
83.45 deg, d = 1.158 Å, intensity 27
88.08 deg, d = 1.109 Å, intensity 7

Record 9
For Zr2InNi2, a crystal structure in the Materials Project, relaxed with GGA-PBE gives the computed X-ray diffraction stick pattern in this record (Cu Ka).
Kinematic intensities with the Lorentz-polarization factor, no thermal factor.

Structure:
a b c (Å): 7.2387 7.2387 6.6706
angles (deg): 90.00 90.00 90.00
Fractional positions:
Zr  0.1613  0.1613  0.0000
Zr  0.1769  0.1769  0.5000
Zr  0.3231  0.6769  0.0000
Zr  0.3387  0.6613  0.5000
Zr  0.6613  0.3387  0.5000
Zr  0.6769  0.3231  0.0000
Zr  0.8231  0.8231  0.5000
Zr  0.8387  0.8387  0.0000
In  0.0000  0.5000  0.2500
In  0.0000  0.5000  0.7500
In  0.5000  0.0000  0.2500
In  0.5000  0.0000  0.7500
Ni  0.1248  0.8752  0.2696
Ni  0.1248  0.8752  0.7304
Ni  0.3752  0.3752  0.2304
Ni  0.3752  0.3752  0.7696
Ni  0.6248  0.6248  0.2304
Ni  0.6248  0.6248  0.7696
Ni  0.8752  0.1248  0.2696
Ni  0.8752  0.1248  0.7304

Main lines, low angle first (10° ≤ 2θ ≤ 90°):
32.03 deg, d = 2.794 Å, intensity 16
35.06 deg, d = 2.559 Å, intensity 19
36.64 deg, d = 2.453 Å, intensity 53
38.76 deg, d = 2.323 Å, intensity 100
39.36 deg, d = 2.289 Å, intensity 69
55.07 deg, d = 1.668 Å, intensity 15
61.00 deg, d = 1.519 Å, intensity 14
69.77 deg, d = 1.348 Å, intensity 22
72.34 deg, d = 1.306 Å, intensity 15
76.39 deg, d = 1.247 Å, intensity 11

Record 10
For Nd3AlNi8, a crystal structure in the Materials Project, relaxed with GGA-PBE gives the computed X-ray diffraction stick pattern in this record (Cu Ka).
Kinematic intensities with the Lorentz-polarization factor, no thermal factor.

Structure:
a b c (Å): 5.1453 5.1453 16.2727
angles (deg): 90.00 90.00 120.00
Fractional positions:
Nd  0.3333  0.6667  0.0468
Nd  0.3333  0.6667  0.2500
Nd  0.3333  0.6667  0.4532
Nd  0.6667  0.3333  0.5468
Nd  0.6667  0.3333  0.7500
Nd  0.6667  0.3333  0.9532
Al  0.0000  0.0000  0.0000
Al  0.0000  0.0000  0.5000
Ni  0.0000  0.0000  0.2500
Ni  0.0000  0.0000  0.7500
Ni  0.1682  0.3365  0.6272
Ni  0.1682  0.3365  0.8728
Ni  0.1682  0.8318  0.6272
Ni  0.1682  0.8318  0.8728
Ni  0.3333  0.6667  0.7500
Ni  0.3365  0.1682  0.1272
Ni  0.3365  0.1682  0.3728
Ni  0.6635  0.8318  0.6272
Ni  0.6635  0.8318  0.8728
Ni  0.6667  0.3333  0.2500
Ni  0.8318  0.1682  0.1272
Ni  0.8318  0.1682  0.3728
Ni  0.8318  0.6635  0.1272
Ni  0.8318  0.6635  0.3728

Main lines, low angle first (10° ≤ 2θ ≤ 90°):
34.11 deg, d = 2.628 Å, intensity 96
34.87 deg, d = 2.573 Å, intensity 59
40.49 deg, d = 2.228 Å, intensity 23
40.88 deg, d = 2.207 Å, intensity 52
41.53 deg, d = 2.174 Å, intensity 100
43.93 deg, d = 2.061 Å, intensity 50
48.79 deg, d = 1.866 Å, intensity 21
62.05 deg, d = 1.496 Å, intensity 33
67.08 deg, d = 1.395 Å, intensity 23
73.64 deg, d = 1.286 Å, intensity 28